[1]
Calculated PXRD pattern of WI2N2 for CuKα, from a structure optimized by DFT (PBE).

Atomic structure:
```
data_WI2N2
_chemical_formula_sum 'W1 I2 N2'
_space_group_name_H-M_alt 'P 4/m m m'
_space_group_IT_number 123
_space_group_name_Hall '-P 4 2'
_cell_length_a 4.104
_cell_length_b 4.104
_cell_length_c 5.972
_cell_angle_alpha 90.00
_cell_angle_beta 90.00
_cell_angle_gamma 90.00
loop_
_atom_site_label
_atom_site_type_symbol
_atom_site_fract_x
_atom_site_fract_y
_atom_site_fract_z
W1 W 0.000 0.000 0.000
I1 I 0.000 0.000 0.500
I2 I 0.500 0.500 0.500
N1 N 0.000 0.500 0.000
```

Most intense lines, 5° ≤ 2θ ≤ 70°, by angle:
hkl 1 0 0, 2θ = 21.66°, 4.104 Å, I 48; hkl 1 0 1, 2θ = 26.35°, 3.382 Å, I 60; hkl 0 0 2, 2θ = 29.93°, 2.986 Å, I 70; hkl 1 1 0, 2θ = 30.82°, 2.902 Å, I 100; hkl 1 0 2, 2θ = 37.24°, 2.414 Å, I 24; hkl 1 1 2, 2θ = 43.49°, 2.081 Å, I 79; hkl 2 0 0, 2θ = 44.14°, 2.052 Å, I 48; hkl 2 1 1, 2θ = 52.14°, 1.754 Å, I 19; hkl 2 0 2, 2θ = 54.25°, 1.691 Å, I 51; hkl 2 2 0, 2θ = 64.20°, 1.451 Å, I 15



[2]
Calculated PXRD pattern of V4Ge2Os for CuKα, from a structure optimized by DFT (PBE).

Atomic structure:
```
data_V4Ge2Os
_chemical_formula_sum 'V16 Ge8 Os4'
_space_group_name_H-M_alt 'C 1 2 1'
_space_group_IT_number 5
_space_group_name_Hall 'C 2y'
_cell_length_a 9.448
_cell_length_b 8.372
_cell_length_c 7.013
_cell_angle_alpha 90.00
_cell_angle_beta 132.11
_cell_angle_gamma 90.00
loop_
_atom_site_label
_atom_site_type_symbol
_atom_site_fract_x
_atom_site_fract_y
_atom_site_fract_z
V1 V 0.037 0.000 0.213
V2 V 0.097 0.394 0.410
V3 V 0.177 0.624 0.729
V4 V 0.178 0.508 0.088
Ge1 Ge 0.000 0.119 0.500
Ge2 Ge 0.000 0.260 0.000
Ge3 Ge 0.102 0.692 0.311
Os1 Os 0.248 0.809 0.116
```

Most intense lines, 5° ≤ 2θ ≤ 70°, by angle:
hkl 1 1 -1, 2θ = 16.53°, 5.362 Å, I 76; hkl 0 0 1, 2θ = 17.05°, 5.202 Å, I 37; hkl 0 2 1, 2θ = 27.35°, 3.261 Å, I 35; hkl 3 1 -2, 2θ = 31.57°, 2.834 Å, I 64; hkl 2 2 0, 2θ = 33.36°, 2.686 Å, I 35; hkl 3 1 -3, 2θ = 40.23°, 2.242 Å, I 50; hkl 1 3 -2, 2θ = 42.68°, 2.118 Å, I 100; hkl 3 3 -1, 2θ = 44.22°, 2.048 Å, I 81; hkl 1 1 2, 2θ = 45.95°, 1.975 Å, I 63; hkl 2 4 -1, 2θ = 47.50°, 1.914 Å, I 36



[3]
Calculated PXRD pattern of BaTmBS4 for CuKα, from a structure optimized by DFT (PBE).

Atomic structure:
```
data_BaTmBS4
_chemical_formula_sum 'Ba2 Tm2 B2 S8'
_space_group_name_H-M_alt 'P 1 21/m 1'
_space_group_IT_number 11
_space_group_name_Hall '-P 2yb'
_cell_length_a 6.119
_cell_length_b 6.418
_cell_length_c 8.331
_cell_angle_alpha 90.00
_cell_angle_beta 108.21
_cell_angle_gamma 90.00
loop_
_atom_site_label
_atom_site_type_symbol
_atom_site_fract_x
_atom_site_fract_y
_atom_site_fract_z
Ba1 Ba 0.221 0.250 0.427
Tm1 Tm 0.271 0.250 0.949
B1 B 0.288 0.750 0.179
S1 S 0.100 0.750 0.945
S2 S 0.103 0.750 0.334
S3 S 0.490 0.510 0.219
```

Most intense lines, 5° ≤ 2θ ≤ 70°, by angle:
hkl 1 1 0, 2θ = 20.62°, 4.308 Å, I 100; hkl 0 1 2, 2θ = 26.46°, 3.368 Å, I 24; hkl 1 1 -2, 2θ = 26.83°, 3.323 Å, I 27; hkl 0 2 0, 2θ = 27.80°, 3.209 Å, I 39; hkl 1 0 2, 2θ = 31.06°, 2.879 Å, I 26; hkl 2 0 -2, 2θ = 32.01°, 2.796 Å, I 30; hkl 1 1 2, 2θ = 34.13°, 2.627 Å, I 30; hkl 0 2 2, 2θ = 36.04°, 2.492 Å, I 33; hkl 1 2 -2, 2θ = 36.32°, 2.474 Å, I 32; hkl 2 2 0, 2θ = 41.94°, 2.154 Å, I 30



[4]
Calculated PXRD pattern of Ac2ZnNi for CuKα, from a structure optimized by DFT (PBE).

Atomic structure:
```
data_Ac2ZnNi
_chemical_formula_sum 'Ac4 Zn2 Ni2'
_space_group_name_H-M_alt 'P 1 21/m 1'
_space_group_IT_number 11
_space_group_name_Hall '-P 2yb'
_cell_length_a 6.288
_cell_length_b 4.582
_cell_length_c 8.412
_cell_angle_alpha 90.00
_cell_angle_beta 109.97
_cell_angle_gamma 90.00
loop_
_atom_site_label
_atom_site_type_symbol
_atom_site_fract_x
_atom_site_fract_y
_atom_site_fract_z
Ac1 Ac 0.222 0.250 0.443
Ac2 Ac 0.231 0.250 0.922
Zn1 Zn 0.353 0.750 0.216
Ni1 Ni 0.429 0.750 0.728
```

Most intense lines, 5° ≤ 2θ ≤ 70°, by angle:
hkl 1 1 0, 2θ = 24.58°, 3.621 Å, I 69; hkl 1 1 -2, 2θ = 29.81°, 2.997 Å, I 100; hkl 2 0 0, 2θ = 30.25°, 2.955 Å, I 27; hkl 2 0 -2, 2θ = 30.99°, 2.886 Å, I 30; hkl 1 0 2, 2θ = 31.22°, 2.865 Å, I 29; hkl 2 1 -2, 2θ = 36.80°, 2.442 Å, I 23; hkl 1 1 2, 2θ = 37.01°, 2.429 Å, I 25; hkl 0 2 0, 2θ = 39.33°, 2.291 Å, I 28; hkl 1 0 -4, 2θ = 43.01°, 2.103 Å, I 21; hkl 3 1 0, 2θ = 50.41°, 1.810 Å, I 33